NaCr2AsF: computed powder XRD pattern (λ = 1.5418 Å (Cu Kα)), based on the PBE+U geometry in Alexandria.
No peak broadening, texture or thermal motion is included.

Largest 8 diffraction maxima, sorted by position, 10° ≤ 2θ ≤ 90°:
d_spacing	2θ/deg	intensity	hkl
3.067	29.1	30	1 0 1
2.647	33.9	100	1 1 1
2.620	34.2	79	2 0 0
1.992	45.5	18	2 1 1
1.853	49.2	26	2 2 0
1.533	60.4	27	2 0 2
1.518	61.0	32	3 1 1
1.323	71.3	15	2 2 2

Atomic structure:
```
NaCr2AsF
1.0
5.240 0.000 0.000
0.000 5.240 0.000
0.000 0.000 3.782
Na Cr As F
1 2 1 1
direct
0.000 0.000 0.000
0.000 0.500 0.000
0.500 0.000 0.000
0.500 0.500 0.500
0.000 0.000 0.500
```